For GdYAg2Te4, a cell relaxed with PBE gives the simulated X-ray diffraction stick pattern in this record (Cu Kα).
Intensities are scaled so that the largest is 100.

Peak list (6 most intense, 2θ from 15° to 90°, by intensity)
two_theta  d [Å]  I (rel.)  hkl
25.8  3.451  100  0 2 1
35.6  2.519  63  0 4 0
33.9  2.644  57  3 1 1
31.4  2.847  47  2 2 1
42.6  2.123  44  3 3 1
42.2  2.143  31  2 0 2

Crystal structure
```
data_GdYAg2Te4
_space_group_name_H-M_alt 'C m m 2'
_space_group_IT_number 35
_cell_length_a 10.067
_cell_length_b 10.086
_cell_length_c 4.735
_cell_angle_alpha 90.00
_cell_angle_beta 90.00
_cell_angle_gamma 90.00
loop_
_space_group_symop_operation_xyz
'x,y,z'
'-x,-y,z'
'-x,y,z'
'x,-y,z'
'x+1/2,y+1/2,z'
'-x+1/2,-y+1/2,z'
'-x+1/2,y+1/2,z'
'x+1/2,-y+1/2,z'
loop_
_atom_site_label
_atom_site_fract_x
_atom_site_fract_y
_atom_site_fract_z
Gd1 0.000 0.000 0.000
Y1 0.000 0.500 0.390
Ag1 0.250 0.250 0.194
Te1 0.000 0.203 0.484
Te2 0.200 0.500 0.905
```

***

For Zn2Ge2AsP3, a cell relaxed with PBE gives the simulated X-ray diffraction stick pattern in this record (Cu Kα).
Intensities are scaled so that the largest is 100.

Peak list (6 most intense, 2θ from 15° to 90°, by intensity)
two_theta  d [Å]  I (rel.)  hkl
27.9  3.193  100  1 1 1
46.6  1.948  33  4 2 0
46.2  1.965  22  2 2 -2
54.9  1.672  21  1 3 1
46.4  1.956  11  2 0 2
54.7  1.677  7  1 1 -3

Crystal structure
```
data_Zn2Ge2AsP3
_space_group_name_H-M_alt 'C 1 2 1'
_space_group_IT_number 5
_cell_length_a 12.257
_cell_length_b 5.553
_cell_length_c 5.565
_cell_angle_alpha 90.00
_cell_angle_beta 116.73
_cell_angle_gamma 90.00
loop_
_space_group_symop_operation_xyz
'x,y,z'
'-x,y,-z'
'x+1/2,y+1/2,z'
'-x+1/2,y+1/2,-z'
loop_
_atom_site_label
_atom_site_fract_x
_atom_site_fract_y
_atom_site_fract_z
Zn1 0.129 0.000 0.371
Ge1 0.127 0.514 0.883
As1 0.000 0.257 0.500
P1 0.000 0.757 0.000
P2 0.250 0.259 0.246
```